Simulated X-ray diffraction stick pattern
Compound: Ba2H3O4
Radiation: Cu Kα X-rays
Structure: a DFT-relaxed cell (PBE, Alexandria)
Kinematic intensities with the Lorentz-polarization factor, no thermal factor.

Structure:
```
Ba2H3O4
1.0
4.0398 -4.9184 0.0000
4.0398 4.9184 0.0000
-1.4953 0.0000 6.9756
Ba H O
4 6 8
Direct
0.0746 0.3879 0.2072
0.3879 0.0746 0.7072
0.6121 0.9254 0.2928
0.9254 0.6121 0.7928
0.1039 0.8961 0.2500
0.4049 0.5717 0.9165
0.4283 0.5951 0.5835
0.5717 0.4049 0.4165
0.5951 0.4283 0.0835
0.8961 0.1039 0.7500
0.0620 0.2235 0.8267
0.2235 0.0620 0.3267
0.3330 0.6637 0.5051
0.3363 0.6670 0.9949
0.6637 0.3330 0.0051
0.6670 0.3363 0.4949
0.7765 0.9380 0.6733
0.9380 0.7765 0.1733
```

Main lines, by intensity (5° ≤ 2θ ≤ 70°):
2θ 22.11, intensity 100
2θ 29.73, intensity 76
2θ 22.51, intensity 58
2θ 25.54, intensity 38
2θ 30.43, intensity 38
2θ 33.68, intensity 33
2θ 43.84, intensity 26
2θ 38.83, intensity 24
2θ 37.81, intensity 23
2θ 48.86, intensity 20